Simulated PXRD pattern of CdIr15 for Cu Kα, 1.54184 Å, from the GGA-PBE geometry in OQMD.
Lines closer than 0.1° are merged.

Peak list (10 most intense, 2θ = 10–90°, by angle)
- 2.267 Å, 39.76°, I 69
- 2.262 Å, 39.86°, I 68
- 2.200 Å, 41.04°, I 100
- 1.935 Å, 46.96°, I 59
- 1.931 Å, 47.07°, I 44
- 1.366 Å, 68.70°, I 18
- 1.366 Å, 68.72°, I 30
- 1.172 Å, 82.25°, I 17
- 1.170 Å, 82.45°, I 17
- 1.163 Å, 83.06°, I 14

Structure:
```
data_CdIr15
_chemical_formula_sum 'Cd2 Ir30'
_cell_length_a 5.463
_cell_length_b 2.741
_cell_length_c 44.374
_cell_angle_alpha 90.00
_cell_angle_beta 90.00
_cell_angle_gamma 90.00
_symmetry_space_group_name_H-M 'P 1 21/m 1'
_symmetry_Int_Tables_number 11
loop_
_symmetry_equiv_pos_as_xyz
'x,y,z'
'-x,-y,-z'
'-x,y+1/2,-z'
'x,-y+1/2,z'
loop_
_atom_site_label
_atom_site_type_symbol
_atom_site_fract_x
_atom_site_fract_y
_atom_site_fract_z
_atom_site_occupancy
Cd1 Cd 0.125 0.250 0.161 1
Ir1 Ir 0.121 0.250 0.784 1
Ir2 Ir 0.125 0.250 0.260 1
Ir3 Ir 0.125 0.250 0.347 1
Ir4 Ir 0.125 0.250 0.434 1
Ir5 Ir 0.125 0.250 0.522 1
Ir6 Ir 0.125 0.250 0.609 1
Ir7 Ir 0.126 0.250 0.697 1
Ir8 Ir 0.371 0.750 0.216 1
Ir9 Ir 0.375 0.750 0.391 1
Ir10 Ir 0.375 0.750 0.478 1
Ir11 Ir 0.375 0.750 0.566 1
Ir12 Ir 0.375 0.750 0.653 1
Ir13 Ir 0.375 0.750 0.740 1
Ir14 Ir 0.375 0.750 0.824 1
Ir15 Ir 0.376 0.750 0.303 1
```